Entry 1:
For Sr2Mg5Sn3, a crystal structure in Alexandria, relaxed with GGA-PBE gives the theoretical PXRD pattern in this record (a wavelength of 1.5418 Å).

Crystal structure
Unit cell a=4.781 b=4.781 c=13.025 alpha=90.00 beta=90.00 gamma=90.00
Space group P-4m2 (No. 115)
Symmetry-distinct sites (fractional):
Sr 0.000 0.500 0.245 (multiplicity 2)
Mg 0.000 0.000 0.500 (multiplicity 1)
Mg 0.000 0.500 0.640 (multiplicity 2)
Mg 0.500 0.500 0.000 (multiplicity 1)
Mg 0.500 0.500 0.500 (multiplicity 1)
Sn 0.000 0.000 0.000 (multiplicity 1)
Sn 0.000 0.500 0.859 (multiplicity 2)

Peak list (8 most intense, 10 to 90 degrees two-theta, sorted by position)
2θ/deg	intensity	index
23.08	392	1 0 2
27.76	679	1 0 3
29.78	1000	1 1 2
33.60	304	1 1 3
37.63	637	2 0 0
39.39	546	1 0 5
47.40	314	2 1 3
55.61	402	2 1 5



Entry 2:
For Al2Cd4Au5, a crystal structure in Alexandria, relaxed with GGA-PBE gives the theoretical PXRD pattern in this record (a wavelength of 1.5418 Å).

Crystal structure
Unit cell a=8.451 b=17.994 c=5.611 alpha=90.00 beta=90.00 gamma=90.00
Space group Ibam (No. 72)
Symmetry-distinct sites (fractional):
Al 0.000 0.200 0.250 (multiplicity 8)
Cd 0.091 0.359 0.000 (multiplicity 8)
Cd 0.233 0.063 0.000 (multiplicity 8)
Au 0.000 0.500 0.250 (multiplicity 4)
Au 0.098 0.083 0.500 (multiplicity 8)
Au 0.215 0.278 0.500 (multiplicity 8)

Peak list (8 most intense, 10 to 90 degrees two-theta, sorted by position)
2θ/deg	intensity	index
23.26	346	2 2 0
26.92	434	1 5 0
31.90	563	0 0 2
35.57	582	1 6 1
36.52	672	1 7 0
37.08	1000	3 2 1
43.64	390	2 4 2
44.22	384	0 6 2



Entry 3:
For HfAuS, a crystal structure in Alexandria, relaxed with GGA-PBE gives the theoretical PXRD pattern in this record (a wavelength of 1.5418 Å).

Crystal structure
Unit cell a=11.685 b=3.610 c=6.618 alpha=90.00 beta=116.66 gamma=90.00
Space group C2/m (No. 12)
Symmetry-distinct sites (fractional):
Hf 0.000 0.000 0.000 (multiplicity 2)
Hf 0.000 0.500 0.500 (multiplicity 2)
Au 0.173 0.000 0.813 (multiplicity 4)
S 0.129 0.500 0.283 (multiplicity 4)

Peak list (8 most intense, 10 to 90 degrees two-theta, sorted by position)
2θ/deg	intensity	index
16.87	351	2 0 -1
32.15	1000	1 1 1
34.11	448	4 0 -2
41.29	235	2 0 2
46.47	332	5 1 -1
48.68	284	3 1 -3
50.54	185	0 2 0
62.42	142	4 2 -2



Entry 4:
For Al2Cu2Au3, a crystal structure in Alexandria, relaxed with GGA-PBE gives the theoretical PXRD pattern in this record (a wavelength of 1.5418 Å).

Crystal structure
Unit cell a=2.852 b=4.253 c=17.904 alpha=90.00 beta=90.00 gamma=90.00
Space group Immm (No. 71)
Symmetry-distinct sites (fractional):
Al 0.000 0.000 0.141 (multiplicity 4)
Cu 0.000 0.500 0.067 (multiplicity 4)
Au 0.000 0.000 0.302 (multiplicity 4)
Au 0.000 0.500 0.500 (multiplicity 2)

Peak list (8 most intense, 10 to 90 degrees two-theta, sorted by position)
2θ/deg	intensity	index
19.84	202	0 0 4
25.72	734	0 1 3
39.35	1000	1 1 2
40.43	561	1 0 5
41.18	552	0 1 7
42.51	326	0 2 0
60.11	351	1 2 5
80.33	158	2 1 7



Entry 5:
For AgPd2PtAu4, a crystal structure in Alexandria, relaxed with GGA-PBE gives the theoretical PXRD pattern in this record (a wavelength of 1.5418 Å).

Crystal structure
Unit cell a=4.057 b=4.087 c=8.173 alpha=90.00 beta=90.27 gamma=90.00
Space group P2/m (No. 10)
Symmetry-distinct sites (fractional):
Ag 0.000 0.000 0.000 (multiplicity 1)
Pd 0.000 0.000 0.500 (multiplicity 1)
Pd 0.500 0.500 0.000 (multiplicity 1)
Pt 0.500 0.500 0.500 (multiplicity 1)
Au 0.000 0.500 0.253 (multiplicity 2)
Au 0.500 0.000 0.252 (multiplicity 2)

Peak list (8 most intense, 10 to 90 degrees two-theta, sorted by position)
2θ/deg	intensity	index
38.17	1000	1 1 -2
38.30	991	1 1 2
44.33	657	0 2 0
44.67	322	2 0 0
64.52	323	0 2 4
64.75	213	2 2 0
77.44	258	1 3 -2
77.60	256	1 3 2



Entry 6:
For Si23Cl3, a crystal structure in Alexandria, relaxed with GGA-PBE gives the theoretical PXRD pattern in this record (a wavelength of 1.5418 Å).

Crystal structure
Unit cell a=10.184 b=10.184 c=10.184 alpha=90.00 beta=90.00 gamma=90.00
Space group Pm-3n (No. 223)
Symmetry-distinct sites (fractional):
Si 0.000 0.115 0.311 (multiplicity 24)
Si 0.000 0.250 0.500 (multiplicity 6)
Si 0.183 0.183 0.183 (multiplicity 16)
Cl 0.000 0.500 0.250 (multiplicity 6)

Peak list (8 most intense, 10 to 90 degrees two-theta, sorted by position)
2θ/deg	intensity	index
30.41	604	2 2 2
31.68	514	3 2 0
32.91	1000	3 2 1
36.37	253	4 1 0
52.39	780	5 3 0
53.21	214	5 3 1
54.03	225	6 0 0
55.64	436	5 3 2



Entry 7:
For In4GePbS8, a crystal structure in Alexandria, relaxed with GGA-PBE gives the theoretical PXRD pattern in this record (a wavelength of 1.5418 Å).

Crystal structure
Unit cell a=8.1607 b=8.1607 c=18.0251 alpha=90.00 beta=90.00 gamma=120.00
Space group R3m (No. 160, hexagonal axes)
Symmetry-distinct sites (fractional):
In 0.0000 0.0000 0.0000 (multiplicity 3)
In 0.1735 0.3471 0.2181 (multiplicity 9)
Ge 0.0000 0.0000 0.3811 (multiplicity 3)
Pb 0.0000 0.0000 0.7918 (multiplicity 3)
S 0.0000 0.0000 0.1418 (multiplicity 3)
S 0.0000 0.0000 0.6340 (multiplicity 3)
S 0.0567 0.5283 0.1324 (multiplicity 9)
S 0.1704 0.3407 0.9557 (multiplicity 9)

Peak list (8 most intense, 10 to 90 degrees two-theta, sorted by position)
2θ/deg	intensity	index
21.78	459	1 1 0
23.41	451	1 0 4
25.69	1000	0 2 1
26.40	675	1 1 3
27.78	671	0 1 5
32.19	409	0 2 4
42.10	630	1 2 5
44.40	773	2 2 0



Entry 8:
For CuNiIrS4, a crystal structure in Alexandria, relaxed with GGA-PBE gives the theoretical PXRD pattern in this record (a wavelength of 1.5418 Å).

Crystal structure
Unit cell a=6.854 b=7.006 c=9.722 alpha=90.00 beta=90.00 gamma=90.00
Space group Imma (No. 74)
Symmetry-distinct sites (fractional):
Cu 0.000 0.250 0.129 (multiplicity 4)
Ni 0.250 0.250 0.750 (multiplicity 4)
Ir 0.000 0.000 0.500 (multiplicity 4)
S 0.000 0.028 0.743 (multiplicity 8)
S 0.231 0.250 0.512 (multiplicity 8)

Peak list (8 most intense, 10 to 90 degrees two-theta, sorted by position)
2θ/deg	intensity	index
15.82	1000	1 0 1
30.09	998	1 2 1
30.44	323	2 1 1
30.51	521	1 0 3
36.69	528	2 2 0
36.98	262	0 0 4
48.48	342	3 2 1
53.08	718	2 2 4



Entry 9:
For Tc, a crystal structure in Alexandria, relaxed with GGA-PBE gives the theoretical PXRD pattern in this record (a wavelength of 1.5418 Å).

Crystal structure
Unit cell a=4.3292 b=4.3292 c=2.7217 alpha=90.00 beta=90.00 gamma=120.00
Space group P6/mmm (No. 191)
Symmetry-distinct sites (fractional):
Tc 0.0000 0.0000 0.0000 (multiplicity 1)
Tc 0.3333 0.6667 0.5000 (multiplicity 2)

Peak list (8 most intense, 10 to 90 degrees two-theta, sorted by position)
2θ/deg	intensity	index
32.91	72	0 0 1
40.98	937	1 0 1
41.73	1000	1 1 0
54.14	102	1 1 1
59.91	298	2 0 1
75.66	293	2 1 1
76.18	162	3 0 0
84.00	252	1 1 2



Entry 10:
For Li3B8C8, a crystal structure in Alexandria, relaxed with GGA-PBE gives the theoretical PXRD pattern in this record (a wavelength of 1.5418 Å).

Crystal structure
Unit cell a=4.723 b=5.342 c=7.782 alpha=100.19 beta=107.01 gamma=90.01
Space group P-1 (No. 2)
Symmetry-distinct sites (fractional):
Li 0.000 0.000 0.000 (multiplicity 1)
Li 0.255 0.645 0.500 (multiplicity 2)
B 0.031 0.687 0.739 (multiplicity 2)
B 0.037 0.187 0.746 (multiplicity 2)
B 0.463 0.059 0.248 (multiplicity 2)
B 0.464 0.562 0.250 (multiplicity 2)
C 0.201 0.436 0.736 (multiplicity 2)
C 0.207 0.938 0.747 (multiplicity 2)
C 0.288 0.810 0.247 (multiplicity 2)
C 0.296 0.313 0.257 (multiplicity 2)

Peak list (8 most intense, 10 to 90 degrees two-theta, sorted by position)
2θ/deg	intensity	index
24.34	1000	0 0 2
38.73	82	1 2 -1
45.48	48	2 0 1
46.02	88	1 -2 2
46.28	97	1 2 -3
46.51	50	-1 2 2
49.88	113	0 0 4
69.28	71	-3 2 1



Entry 11:
For LaPr2Nd2Y2, a crystal structure in Alexandria, relaxed with GGA-PBE gives the theoretical PXRD pattern in this record (a wavelength of 1.5418 Å).

Crystal structure
Unit cell a=11.566 b=5.194 c=8.244 alpha=90.00 beta=98.10 gamma=90.00
Space group C2/m (No. 12)
Symmetry-distinct sites (fractional):
La 0.000 0.000 0.000 (multiplicity 2)
Pr 0.072 0.500 0.716 (multiplicity 4)
Nd 0.143 0.000 0.430 (multiplicity 4)
Y 0.215 0.500 0.143 (multiplicity 4)

Peak list (8 most intense, 10 to 90 degrees two-theta, sorted by position)
2θ/deg	intensity	index
29.73	1000	1 1 2
29.86	989	3 1 -1
34.49	678	0 2 0
34.64	333	4 0 1
49.55	360	2 0 4
49.72	238	4 2 1
58.75	144	1 1 -5
58.98	567	5 1 3



Entry 12:
For Ba6MgSc2C2O6F14, a crystal structure in Alexandria, relaxed with GGA-PBE gives the theoretical PXRD pattern in this record (a wavelength of 1.5418 Å).

Crystal structure
Unit cell a=9.139 b=6.279 c=9.158 alpha=90.00 beta=98.72 gamma=90.00
Space group Pm (No. 6)
Symmetry-distinct sites (fractional):
Ba 0.000 0.000 0.000 (multiplicity 1)
Ba 0.052 0.000 0.460 (multiplicity 1)
Ba 0.316 0.500 0.281 (multiplicity 1)
Ba 0.519 0.000 0.953 (multiplicity 1)
Ba 0.752 0.500 0.722 (multiplicity 1)
Ba 0.818 0.500 0.208 (multiplicity 1)
Mg 0.066 0.500 0.557 (multiplicity 1)
Sc 0.182 0.500 0.876 (multiplicity 1)
Sc 0.631 0.000 0.388 (multiplicity 1)
C 0.412 0.500 0.687 (multiplicity 1)
C 0.434 0.000 0.575 (multiplicity 1)
O 0.267 0.500 0.679 (multiplicity 1)
O 0.338 0.000 0.663 (multiplicity 1)
O 0.396 0.000 0.430 (multiplicity 1)
O 0.469 0.500 0.568 (multiplicity 1)
O 0.487 0.500 0.817 (multiplicity 1)
O 0.577 0.000 0.623 (multiplicity 1)
F 0.009 0.500 0.984 (multiplicity 1)
F 0.037 0.284 0.738 (multiplicity 2)
F 0.081 0.236 0.229 (multiplicity 2)
F 0.274 0.258 0.997 (multiplicity 2)
F 0.550 0.237 0.231 (multiplicity 2)
F 0.756 0.240 0.955 (multiplicity 2)
F 0.772 0.236 0.480 (multiplicity 2)
F 0.801 0.000 0.246 (multiplicity 1)

Peak list (8 most intense, 10 to 90 degrees two-theta, sorted by position)
2θ/deg	intensity	index
24.26	1000	0 1 2
25.05	210	2 1 -1
28.43	234	0 2 0
37.07	121	1 2 2
38.67	244	2 2 -2
39.88	158	0 0 4
41.80	252	2 2 2
47.90	158	2 3 0



What did the second record say?
For Al2Cd4Au5, a crystal structure in Alexandria, relaxed with GGA-PBE gives the theoretical PXRD pattern in this record (a wavelength of 1.5418 Å).

Crystal structure
Unit cell a=8.451 b=17.994 c=5.611 alpha=90.00 beta=90.00 gamma=90.00
Space group Ibam (No. 72)
Symmetry-distinct sites (fractional):
Al 0.000 0.200 0.250 (multiplicity 8)
Cd 0.091 0.359 0.000 (multiplicity 8)
Cd 0.233 0.063 0.000 (multiplicity 8)
Au 0.000 0.500 0.250 (multiplicity 4)
Au 0.098 0.083 0.500 (multiplicity 8)
Au 0.215 0.278 0.500 (multiplicity 8)

Peak list (8 most intense, 10 to 90 degrees two-theta, sorted by position)
2θ/deg	intensity	index
23.26	346	2 2 0
26.92	434	1 5 0
31.90	563	0 0 2
35.57	582	1 6 1
36.52	672	1 7 0
37.08	1000	3 2 1
43.64	390	2 4 2
44.22	384	0 6 2



Q: Which formula does entry 4 have?
A: Al2Cu2Au3



Q: What is the formula in the fifth record?
A: AgPd2PtAu4